No. 1
Diffraction record for PaVFeP2. The powder XRD pattern is simulated, not measured: it uses a cell relaxed with GGA-PBE and λ = 1.5418 Å (Cu Kα).

Cell and atoms:
a = 3.9308 Å, b = 3.9308 Å, c = 9.6872 Å
α = 90.00°, β = 90.00°, γ = 90.00°
Space group I-4m2 (No. 119)
Symmetry-distinct sites (fractional):
Pa1 0.0000 0.0000 0.0000 (multiplicity 2)
V1 0.0000 0.5000 0.7500 (multiplicity 2)
Fe1 0.0000 0.5000 0.2500 (multiplicity 2)
P1 0.0000 0.0000 0.3737 (multiplicity 4)

Main lines, low angle first (2θ from 5° to 70°):
2θ = 24.44°, I = 85; 2θ = 35.99°, I = 72; 2θ = 37.30°, I = 100; 2θ = 46.19°, I = 38; 2θ = 52.67°, I = 24; 2θ = 59.91°, I = 33

***

No. 2
Diffraction record for UFeP2Pd2. The powder XRD pattern is simulated, not measured: it uses a cell relaxed with GGA-PBE and λ = 1.5418 Å (Cu Kα).

Cell and atoms:
a = 4.0272 Å, b = 6.8426 Å, c = 6.7709 Å
α = 90.00°, β = 90.00°, γ = 90.00°
Space group Pmc2_1 (No. 26)
Symmetry-distinct sites (fractional):
U1 0.0000 0.0661 0.0000 (multiplicity 2)
Fe1 0.5000 0.1838 0.6555 (multiplicity 2)
P1 0.0000 0.3162 0.6819 (multiplicity 2)
P2 0.5000 0.1310 0.2943 (multiplicity 2)
Pd1 0.0000 0.3867 0.3397 (multiplicity 2)
Pd2 0.5000 0.3979 0.0403 (multiplicity 2)

Main lines, low angle first (2θ from 5° to 70°):
2θ = 25.67°, I = 22; 2θ = 36.94°, I = 100; 2θ = 37.10°, I = 97; 2θ = 41.79°, I = 25; 2θ = 42.16°, I = 24; 2θ = 45.02°, I = 33

***

No. 3
Diffraction record for PmFe4P2. The powder XRD pattern is simulated, not measured: it uses a cell relaxed with GGA-PBE and λ = 1.5418 Å (Cu Kα).

Cell and atoms:
a = 3.8051 Å, b = 13.3021 Å, c = 3.7888 Å
α = 90.00°, β = 90.00°, γ = 90.00°
Space group Cmmm (No. 65)
Symmetry-distinct sites (fractional):
Pm1 0.0000 0.0000 0.0000 (multiplicity 2)
Fe1 0.0000 0.1903 0.5000 (multiplicity 4)
Fe2 0.0000 0.3065 0.0000 (multiplicity 4)
P1 0.0000 0.3942 0.5000 (multiplicity 4)

Main lines, low angle first (2θ from 5° to 70°):
2θ = 27.09°, I = 20; 2θ = 30.97°, I = 25; 2θ = 35.93°, I = 26; 2θ = 39.23°, I = 100; 2θ = 47.81°, I = 25; 2θ = 48.03°, I = 24

***

No. 4
Diffraction record for Fe2PPt. The powder XRD pattern is simulated, not measured: it uses a cell relaxed with GGA-PBE and λ = 1.5418 Å (Cu Kα).

Cell and atoms:
a = 2.7044 Å, b = 2.7044 Å, c = 23.3487 Å
α = 90.00°, β = 90.00°, γ = 120.00°
Space group R-3m (No. 166, hexagonal axes)
Symmetry-distinct sites (fractional):
Fe1 0.0000 0.0000 0.2391 (multiplicity 6)
P1 0.0000 0.0000 0.5000 (multiplicity 3)
Pt1 0.0000 0.0000 0.0000 (multiplicity 3)

Main lines, low angle first (2θ from 5° to 70°):
2θ = 11.37°, I = 100; 2θ = 34.57°, I = 23; 2θ = 38.64°, I = 28; 2θ = 41.55°, I = 88; 2θ = 43.21°, I = 29; 2θ = 49.93°, I = 47

***

No. 5
Diffraction record for FePPt. The powder XRD pattern is simulated, not measured: it uses a cell relaxed with GGA-PBE and λ = 1.5418 Å (Cu Kα).

Cell and atoms:
a = 3.7136 Å, b = 3.7136 Å, c = 3.3450 Å
α = 90.00°, β = 90.00°, γ = 120.00°
Space group P3m1 (No. 156)
Symmetry-distinct sites (fractional):
Fe1 0.0000 0.0000 0.0000 (multiplicity 1)
P1 0.6667 0.3333 0.0873 (multiplicity 1)
Pt1 0.3333 0.6667 0.5051 (multiplicity 1)

Main lines, low angle first (2θ from 5° to 70°):
2θ = 26.65°, I = 9; 2θ = 27.74°, I = 47; 2θ = 38.85°, I = 100; 2θ = 49.06°, I = 36; 2θ = 62.60°, I = 12; 2θ = 64.27°, I = 23

***

No. 6
Diffraction record for FeP4Pt. The powder XRD pattern is simulated, not measured: it uses a cell relaxed with GGA-PBE and λ = 1.5418 Å (Cu Kα).

Cell and atoms:
a = 7.0464 Å, b = 7.0464 Å, c = 7.0464 Å
α = 90.00°, β = 90.00°, γ = 90.00°
Space group F-43m (No. 216)
Symmetry-distinct sites (fractional):
Fe1 0.0000 0.0000 0.0000 (multiplicity 4)
P1 0.1271 0.1271 0.6271 (multiplicity 16)
Pt1 0.2500 0.2500 0.2500 (multiplicity 4)

Main lines, low angle first (2θ from 5° to 70°):
2θ = 21.85°, I = 59; 2θ = 25.28°, I = 27; 2θ = 36.05°, I = 77; 2θ = 42.55°, I = 100; 2θ = 64.82°, I = 27; 2θ = 69.29°, I = 31

***

No. 7
Diffraction record for RbFe2P. The powder XRD pattern is simulated, not measured: it uses a cell relaxed with GGA-PBE and λ = 1.5418 Å (Cu Kα).

Cell and atoms:
a = 4.7980 Å, b = 4.7980 Å, c = 15.0246 Å
α = 90.00°, β = 90.00°, γ = 90.00°
Space group I4_1/amd (No. 141, origin choice 2)
Symmetry-distinct sites (fractional):
Rb1 0.0000 0.2500 0.3750 (multiplicity 4)
Fe1 0.0000 0.0000 0.0000 (multiplicity 8)
P1 0.0000 0.2500 0.8750 (multiplicity 4)

Main lines, low angle first (2θ from 5° to 70°):
2θ = 25.71°, I = 94; 2θ = 28.88°, I = 100; 2θ = 35.24°, I = 41; 2θ = 39.43°, I = 42; 2θ = 42.56°, I = 48; 2θ = 59.82°, I = 46

***

No. 8
Diffraction record for FeReP2. The powder XRD pattern is simulated, not measured: it uses a cell relaxed with GGA-PBE and λ = 1.5418 Å (Cu Kα).

Cell and atoms:
a = 8.0448 Å, b = 3.0030 Å, c = 4.2589 Å
α = 90.00°, β = 104.74°, γ = 90.00°
Space group Cm (No. 8)
Symmetry-distinct sites (fractional):
Fe1 0.0000 0.0000 0.0000 (multiplicity 2)
Re1 0.2318 0.0000 0.5866 (multiplicity 2)
P1 0.2316 0.5000 0.0818 (multiplicity 2)
P2 0.4934 0.0000 0.4288 (multiplicity 2)

Main lines, low angle first (2θ from 5° to 70°):
2θ = 22.86°, I = 47; 2θ = 27.24°, I = 64; 2θ = 31.95°, I = 66; 2θ = 37.12°, I = 47; 2θ = 40.57°, I = 100; 2θ = 47.31°, I = 73

***

No. 9
Diffraction record for YFeP2Rh5. The powder XRD pattern is simulated, not measured: it uses a cell relaxed with GGA-PBE and λ = 1.5418 Å (Cu Kα).

Cell and atoms:
a = 4.3693 Å, b = 4.3693 Å, c = 9.1140 Å
α = 90.00°, β = 90.00°, γ = 90.00°
Space group P4/mmm (No. 123)
Symmetry-distinct sites (fractional):
Y1 0.0000 0.0000 0.0000 (multiplicity 1)
Fe1 0.5000 0.5000 0.5000 (multiplicity 1)
P1 0.5000 0.5000 0.2632 (multiplicity 2)
Rh1 0.0000 0.5000 0.2192 (multiplicity 4)
Rh2 0.5000 0.5000 0.0000 (multiplicity 1)

Main lines, low angle first (2θ from 5° to 70°):
2θ = 9.70°, I = 70; 2θ = 35.09°, I = 100; 2θ = 39.55°, I = 20; 2θ = 41.33°, I = 50; 2θ = 41.70°, I = 26; 2θ = 58.53°, I = 24

***

No. 10
Diffraction record for SrFeP2S8. The powder XRD pattern is simulated, not measured: it uses a cell relaxed with GGA-PBE and λ = 1.5418 Å (Cu Kα).

Cell and atoms:
a = 5.8073 Å, b = 5.8073 Å, c = 8.4776 Å
α = 90.00°, β = 90.00°, γ = 120.00°
Space group P-3 (No. 147)
Symmetry-distinct sites (fractional):
Sr1 0.0000 0.0000 0.0000 (multiplicity 1)
Fe1 0.0000 0.0000 0.5000 (multiplicity 1)
P1 0.3333 0.6667 0.7252 (multiplicity 2)
S1 0.0092 0.6909 0.3358 (multiplicity 6)
S2 0.3333 0.6667 0.9627 (multiplicity 2)

Main lines, low angle first (2θ from 5° to 70°):
2θ = 17.63°, I = 52; 2θ = 27.52°, I = 78; 2θ = 32.60°, I = 99; 2θ = 37.55°, I = 100; 2θ = 53.53°, I = 58; 2θ = 54.76°, I = 55

***

No. 11
Diffraction record for Sc2Fe12P7. The powder XRD pattern is simulated, not measured: it uses a cell relaxed with GGA-PBE and λ = 1.5418 Å (Cu Kα).

Cell and atoms:
a = 8.8643 Å, b = 8.8643 Å, c = 3.5839 Å
α = 90.00°, β = 90.00°, γ = 120.00°
Space group P-6 (No. 174)
Symmetry-distinct sites (fractional):
Sc1 0.0000 0.0000 0.0000 (multiplicity 1)
Sc2 0.3333 0.6667 0.5000 (multiplicity 1)
Fe1 0.0519 0.2847 0.5000 (multiplicity 3)
Fe2 0.0955 0.7054 0.0000 (multiplicity 3)
Fe3 0.3890 0.1740 0.0000 (multiplicity 3)
Fe4 0.5452 0.4278 0.5000 (multiplicity 3)
P1 0.0828 0.4536 0.0000 (multiplicity 3)
P2 0.2597 0.2159 0.5000 (multiplicity 3)
P3 0.6667 0.3333 0.0000 (multiplicity 1)

Main lines, low angle first (2θ from 5° to 70°):
2θ = 39.98°, I = 100; 2θ = 43.45°, I = 13; 2θ = 49.82°, I = 27; 2θ = 50.96°, I = 23; 2θ = 51.92°, I = 13; 2θ = 54.80°, I = 17

***

No. 12
Diffraction record for Fe7PSe. The powder XRD pattern is simulated, not measured: it uses a cell relaxed with GGA-PBE and λ = 1.5418 Å (Cu Kα).

Cell and atoms:
a = 5.2187 Å, b = 6.7726 Å, c = 6.8617 Å
α = 98.92°, β = 94.37°, γ = 109.27°
Space group P1 (No. 1)
Symmetry-distinct sites (fractional):
Fe1 0.0000 0.0000 0.0000 (multiplicity 1)
Fe2 0.0013 0.3714 0.1781 (multiplicity 1)
Fe3 0.0519 0.9396 0.5764 (multiplicity 1)
Fe4 0.1469 0.7734 0.2486 (multiplicity 1)
Fe5 0.2078 0.5690 0.5312 (multiplicity 1)
Fe6 0.2638 0.1765 0.3409 (multiplicity 1)
Fe7 0.3113 0.5921 0.9565 (multiplicity 1)
Fe8 0.4238 0.3166 0.6934 (multiplicity 1)
Fe9 0.4964 0.0311 0.9081 (multiplicity 1)
Fe10 0.5366 0.9582 0.5182 (multiplicity 1)
Fe11 0.5762 0.5577 0.3292 (multiplicity 1)
Fe12 0.6449 0.7458 0.7313 (multiplicity 1)
Fe13 0.7772 0.5436 0.9787 (multiplicity 1)
Fe14 0.9252 0.2415 0.7850 (multiplicity 1)
P1 0.0829 0.7429 0.7997 (multiplicity 1)
P2 0.3593 0.2991 0.0325 (multiplicity 1)
Se1 0.6672 0.8686 0.1908 (multiplicity 1)
Se2 0.7632 0.3091 0.4682 (multiplicity 1)

Main lines, low angle first (2θ from 5° to 70°):
2θ = 40.95°, I = 92; 2θ = 42.55°, I = 94; 2θ = 43.06°, I = 100; 2θ = 44.25°, I = 74; 2θ = 45.02°, I = 98; 2θ = 45.53°, I = 94

***

No. 13
Diffraction record for FePSe2. The powder XRD pattern is simulated, not measured: it uses a cell relaxed with GGA-PBE and λ = 1.5418 Å (Cu Kα).

Cell and atoms:
a = 7.4571 Å, b = 3.4452 Å, c = 6.9576 Å
α = 90.00°, β = 108.41°, γ = 90.00°
Space group Cm (No. 8)
Symmetry-distinct sites (fractional):
Fe1 0.0000 0.0000 0.0000 (multiplicity 2)
P1 0.2989 0.0000 0.0001 (multiplicity 2)
Se1 0.0772 0.5000 0.2643 (multiplicity 2)
Se2 0.4221 0.0000 0.7360 (multiplicity 2)

Main lines, low angle first (2θ from 5° to 70°):
2θ = 13.41°, I = 95; 2θ = 24.51°, I = 90; 2θ = 25.17°, I = 52; 2θ = 33.62°, I = 61; 2θ = 36.95°, I = 100; 2θ = 52.36°, I = 50

***

No. 14
Diffraction record for Fe5SiP3. The powder XRD pattern is simulated, not measured: it uses a cell relaxed with GGA-PBE and λ = 1.5418 Å (Cu Kα).

Cell and atoms:
a = 3.9171 Å, b = 3.9171 Å, c = 6.9865 Å
α = 90.00°, β = 90.00°, γ = 90.00°
Space group P4/mmm (No. 123)
Symmetry-distinct sites (fractional):
Fe1 0.0000 0.0000 0.0000 (multiplicity 1)
Fe2 0.0000 0.5000 0.2053 (multiplicity 4)
Si1 0.5000 0.5000 0.5000 (multiplicity 1)
P1 0.0000 0.0000 0.3463 (multiplicity 2)
P2 0.5000 0.5000 0.0000 (multiplicity 1)

Main lines, low angle first (2θ from 5° to 70°):
2θ = 12.67°, I = 46; 2θ = 41.61°, I = 100; 2θ = 45.30°, I = 12; 2θ = 46.36°, I = 70; 2θ = 51.25°, I = 51; 2θ = 67.65°, I = 21